Entry 1:
TmIn3I6: computed X-ray powder pattern (Cu Kα X-rays), based on a crystal structure in Alexandria, relaxed with GGA-PBE.
Lines closer than 0.1° are merged.

Top 8 peaks for 10 to 90 degrees two-theta, by intensity:
h k l	2θ (°)	d (Å)	I/Imax
1 0 2	24.25	3.671	100
1 0 -4	26.00	3.427	97
3 1 -5	39.38	2.288	87
1 3 -1	31.36	2.852	74
3 1 -1	37.00	2.429	73
2 2 0	32.46	2.759	70
1 1 -4	27.83	3.206	69
1 2 1	26.49	3.365	69

Lattice parameters (Å, degrees): 8.0572 9.1507 13.7578 90.00 120.80 90.00
Fractional coordinates of all 20 atoms:
Tm: 0.0000 0.0000 0.0000
Tm: 0.0000 0.5000 0.5000
In: 0.3146 0.0992 0.7792
In: 0.3146 0.4008 0.2792
In: 0.5000 0.0000 0.5000
In: 0.5000 0.5000 0.0000
In: 0.6854 0.5992 0.7208
In: 0.6854 0.9008 0.2208
I: 0.0876 0.0606 0.2364
I: 0.0876 0.4394 0.7364
I: 0.2333 0.7217 0.0794
I: 0.2333 0.7783 0.5794
I: 0.3565 0.1655 0.0467
I: 0.3565 0.3345 0.5467
I: 0.6435 0.6655 0.4533
I: 0.6435 0.8345 0.9533
I: 0.7667 0.2217 0.4206
I: 0.7667 0.2783 0.9206
I: 0.9124 0.5606 0.2636
I: 0.9124 0.9394 0.7636


Entry 2:
LiBrO3: computed X-ray powder pattern (Cu Kα X-rays), based on a crystal structure in Alexandria, relaxed with GGA-PBE.
Lines closer than 0.1° are merged.

Top 8 peaks for 10 to 90 degrees two-theta, by intensity:
h k l	2θ (°)	d (Å)	I/Imax
1 1 2	29.66	3.012	100
1 1 0	21.02	4.226	86
0 0 2	20.69	4.293	64
0 1 1	18.91	4.694	54
1 1 4	47.53	1.913	37
1 2 1	36.50	2.462	35
2 0 0	27.74	3.216	29
2 0 2	34.86	2.574	27

Lattice parameters (Å, degrees): 6.4315 5.6057 8.5870 90.00 90.00 90.00
Fractional coordinates of all 20 atoms:
Li: 0.0570 0.1150 0.0000
Li: 0.4430 0.6150 0.5000
Li: 0.5570 0.3850 0.0000
Li: 0.9430 0.8850 0.5000
Br: 0.0212 0.4133 0.6708
Br: 0.4788 0.9133 0.1708
Br: 0.5212 0.0867 0.6708
Br: 0.9788 0.5867 0.1708
O: 0.0525 0.2104 0.5296
O: 0.1535 0.6555 0.6033
O: 0.1676 0.3106 0.8195
O: 0.3324 0.8106 0.3195
O: 0.3465 0.1555 0.1033
O: 0.4475 0.7104 0.0296
O: 0.5525 0.2896 0.5296
O: 0.6535 0.8445 0.6033
O: 0.6676 0.1894 0.8195
O: 0.8324 0.6894 0.3195
O: 0.8465 0.3445 0.1033
O: 0.9475 0.7896 0.0296


Entry 3:
La4CuSe3: computed X-ray powder pattern (Cu Kα X-rays), based on a crystal structure in Alexandria, relaxed with GGA-PBE.
Lines closer than 0.1° are merged.

Top 8 peaks for 10 to 90 degrees two-theta, by intensity:
h k l	2θ (°)	d (Å)	I/Imax
1 2 1	29.26	3.052	100
3 2 -1	41.64	2.169	25
2 0 2	41.87	2.158	25
1 2 -3	42.07	2.148	25
2 4 -2	51.90	1.762	13
2 4 2	60.69	1.526	12
4 4 0	68.46	1.371	11
3 2 3	68.80	1.365	11

Lattice parameters (Å, degrees): 7.5283 8.6278 7.4302 90.00 109.50 90.00
Fractional coordinates of all 16 atoms:
La: 0.2475 0.1267 0.0000
La: 0.2475 0.8733 0.5000
La: 0.2498 0.3758 0.5003
La: 0.2498 0.6242 0.0003
La: 0.7502 0.3758 0.9997
La: 0.7502 0.6242 0.4997
La: 0.7525 0.1267 0.5000
La: 0.7525 0.8733 0.0000
Cu: 0.0000 0.3763 0.7500
Cu: 0.0000 0.6237 0.2500
Se: 0.0000 0.1245 0.2500
Se: 0.0000 0.8755 0.7500
Se: 0.5000 0.1219 0.7500
Se: 0.5000 0.3738 0.2500
Se: 0.5000 0.6262 0.7500
Se: 0.5000 0.8781 0.2500